1.
For Tb8Zn2Pt, a cell relaxed with GGA-PBE gives the calculated X-ray diffraction stick pattern in this record (λ = 1.5418 Å (Cu Kα)).
Peak positions follow from Bragg's law for the DFT cell and can differ from measured ones.

Crystal structure
```
data_Tb8Zn2Pt
_cell_length_a 17.7386
_cell_length_b 5.0884
_cell_length_c 6.7271
_cell_angle_alpha 90.00
_cell_angle_beta 102.06
_cell_angle_gamma 90.00
_symmetry_space_group_name_H-M 'C 1 2/m 1'
_symmetry_Int_Tables_number 12
loop_
_symmetry_equiv_pos_as_xyz
'x,y,z'
'-x,-y,-z'
'-x,y,-z'
'x,-y,z'
'x+1/2,y+1/2,z'
'-x+1/2,-y+1/2,-z'
'-x+1/2,y+1/2,-z'
'x+1/2,-y+1/2,z'
loop_
_atom_site_label
_atom_site_type_symbol
_atom_site_fract_x
_atom_site_fract_y
_atom_site_fract_z
Tb1 Tb 0.0271 0.0000 0.2754
Tb2 Tb 0.0900 0.5000 0.9440
Tb3 Tb 0.1586 0.5000 0.4665
Tb4 Tb 0.2042 0.0000 0.8246
Zn1 Zn 0.1918 0.0000 0.2423
Pt1 Pt 0.0000 0.5000 0.5000
```

Largest 8 diffraction maxima, by angle, 2θ = 5–70°:
d/Å, I (rel.), index
3.122, 26, 3 1 1
2.886, 18, 2 0 2
2.867, 27, 5 1 0
2.808, 100, 1 1 -2
2.657, 40, 1 1 2
2.544, 53, 0 2 0
2.374, 19, 5 1 -2
1.434, 23, 7 1 3

---

2.
For NdMo4, a cell relaxed with GGA-PBE gives the calculated X-ray diffraction stick pattern in this record (λ = 1.5418 Å (Cu Kα)).
Peak positions follow from Bragg's law for the DFT cell and can differ from measured ones.

Crystal structure
```
data_NdMo4
_cell_length_a 4.7812
_cell_length_b 4.7812
_cell_length_c 4.7812
_cell_angle_alpha 90.00
_cell_angle_beta 90.00
_cell_angle_gamma 90.00
_symmetry_space_group_name_H-M 'P m -3 m'
_symmetry_Int_Tables_number 221
_symmetry_space_group_name_Hall '-P 4 2 3'
loop_
_atom_site_label
_atom_site_type_symbol
_atom_site_fract_x
_atom_site_fract_y
_atom_site_fract_z
Nd1 Nd 0.0000 0.0000 0.0000
Mo1 Mo 0.0000 0.0000 0.5000
Mo2 Mo 0.5000 0.5000 0.5000
```

Largest 8 diffraction maxima, by angle, 2θ = 5–70°:
d/Å, I (rel.), index
4.781, 43, 1 0 0
3.381, 37, 1 1 0
2.760, 43, 1 1 1
2.391, 100, 2 0 0
2.138, 21, 2 1 0
1.690, 67, 2 2 0
1.442, 16, 3 1 1
1.380, 23, 2 2 2

---

Q: Which formula does entry 2 have?
A: NdMo4